[1]
LiAlSiO4: computed X-ray diffraction stick pattern (λ = 1.5418 Å (Cu Kα)), based on a structure optimized by DFT (PBE).
Kinematic intensities with the Lorentz-polarization factor, no thermal factor.

Largest 6 diffraction maxima, sorted by position, 2θ from 10° to 90°:
- (1 0 -1), 2θ 19.3, I 8
- (1 2 -1), 2θ 25.0, I 100
- (1 4 1), 2θ 47.0, I 22
- (1 2 2), 2θ 55.3, I 5
- (3 2 -2), 2θ 55.5, I 4
- (2 6 0), 2θ 63.8, I 8

Atomic structure:
Cell: 5.290 11.322 5.300 Å, 90.00 119.83 90.00°
Space group P2 (No. 3)
Symmetry-distinct sites (fractional):
Li  0.000  0.000  0.000 [1 per cell]
Li  0.000  0.225  0.000 [1 per cell]
Li  0.000  0.532  0.000 [1 per cell]
Al  0.500  0.029  0.500 [1 per cell]
Al  0.500  0.194  0.000 [1 per cell]
Al  0.500  0.534  0.500 [1 per cell]
Si  0.000  0.367  0.500 [1 per cell]
Si  0.000  0.859  0.500 [1 per cell]
Si  0.500  0.696  0.000 [1 per cell]
O  0.185  0.450  0.396 [2 per cell]
O  0.187  0.940  0.399 [2 per cell]
O  0.197  0.283  0.782 [2 per cell]
O  0.223  0.778  0.777 [2 per cell]
O  0.352  0.111  0.176 [2 per cell]
O  0.385  0.614  0.177 [2 per cell]

=====

[2]
Ce5CuPb3: computed X-ray diffraction stick pattern (λ = 1.5418 Å (Cu Kα)), based on a structure optimized by DFT (PBE).
Kinematic intensities with the Lorentz-polarization factor, no thermal factor.

Largest 6 diffraction maxima, sorted by position, 2θ from 10° to 90°:
- (5 1 1), 2θ 31.5, I 81
- (6 0 0), 2θ 32.2, I 87
- (0 2 2), 2θ 33.0, I 100
- (5 3 1), 2θ 41.4, I 24
- (6 2 2), 2θ 46.8, I 26
- (9 1 2), 2θ 57.9, I 23

Atomic structure:
Cell: 16.643 9.628 6.588 Å, 90.00 90.00 90.00°
Space group Cmcm (No. 63)
Symmetry-distinct sites (fractional):
Ce  0.000  0.237  0.250 [4 per cell]
Ce  0.132  0.368  0.750 [8 per cell]
Ce  0.167  0.000  0.000 [8 per cell]
Cu  0.000  0.500  0.000 [4 per cell]
Pb  0.000  0.119  0.750 [4 per cell]
Pb  0.190  0.309  0.250 [8 per cell]

=====

[3]
Ni3Sb2Te2: computed X-ray diffraction stick pattern (λ = 1.5418 Å (Cu Kα)), based on a structure optimized by DFT (PBE).
Kinematic intensities with the Lorentz-polarization factor, no thermal factor.

Largest 6 diffraction maxima, sorted by position, 2θ from 10° to 90°:
- (1 1 1), 2θ 31.2, I 100
- (0 0 2), 2θ 31.4, I 91
- (4 0 -2), 2θ 31.9, I 52
- (3 1 1), 2θ 43.6, I 56
- (0 2 0), 2θ 45.8, I 37
- (3 1 -3), 2θ 46.5, I 68

Atomic structure:
Cell: 12.317 3.961 6.743 Å, 90.00 122.28 90.00°
Space group Cm (No. 8)
Symmetry-distinct sites (fractional):
Ni  0.000  0.000  0.000 [2 per cell]
Ni  0.008  0.500  0.527 [2 per cell]
Ni  0.250  0.000  0.261 [2 per cell]
Sb  0.124  0.500  0.299 [2 per cell]
Sb  0.127  0.000  0.797 [2 per cell]
Te  0.382  0.500  0.227 [2 per cell]
Te  0.383  0.000  0.734 [2 per cell]

=====

[4]
NaPdF3: computed X-ray diffraction stick pattern (λ = 1.5418 Å (Cu Kα)), based on a structure optimized by DFT (PBE).
Kinematic intensities with the Lorentz-polarization factor, no thermal factor.

Largest 6 diffraction maxima, sorted by position, 2θ from 10° to 90°:
- (0 0 1), 2θ 13.9, I 48
- (0 1 0), 2θ 14.6, I 47
- (2 0 0), 2θ 27.6, I 100
- (0 0 2), 2θ 28.1, I 91
- (1 -2 0), 2θ 30.5, I 79
- (1 2 -2), 2θ 30.8, I 77

Atomic structure:
Cell: 6.798 6.903 7.518 Å, 117.11 105.72 90.77°
Space group P-1 (No. 2)
Symmetry-distinct sites (fractional):
Na  0.000  0.000  0.000 [1 per cell]
Na  0.000  0.000  0.500 [1 per cell]
Na  0.495  0.260  0.498 [2 per cell]
Pd  0.000  0.500  0.000 [1 per cell]
Pd  0.000  0.500  0.500 [1 per cell]
Pd  0.477  0.240  0.969 [2 per cell]
F  0.112  0.635  0.348 [2 per cell]
F  0.116  0.221  0.366 [2 per cell]
F  0.172  0.221  0.927 [2 per cell]
F  0.220  0.747  0.008 [2 per cell]
F  0.399  0.078  0.657 [2 per cell]
F  0.462  0.610  0.721 [2 per cell]

=====

Please write out number 3 again, unchanged.
Ni3Sb2Te2: computed X-ray diffraction stick pattern (λ = 1.5418 Å (Cu Kα)), based on a structure optimized by DFT (PBE).
Kinematic intensities with the Lorentz-polarization factor, no thermal factor.

Largest 6 diffraction maxima, sorted by position, 2θ from 10° to 90°:
- (1 1 1), 2θ 31.2, I 100
- (0 0 2), 2θ 31.4, I 91
- (4 0 -2), 2θ 31.9, I 52
- (3 1 1), 2θ 43.6, I 56
- (0 2 0), 2θ 45.8, I 37
- (3 1 -3), 2θ 46.5, I 68

Atomic structure:
Cell: 12.317 3.961 6.743 Å, 90.00 122.28 90.00°
Space group Cm (No. 8)
Symmetry-distinct sites (fractional):
Ni  0.000  0.000  0.000 [2 per cell]
Ni  0.008  0.500  0.527 [2 per cell]
Ni  0.250  0.000  0.261 [2 per cell]
Sb  0.124  0.500  0.299 [2 per cell]
Sb  0.127  0.000  0.797 [2 per cell]
Te  0.382  0.500  0.227 [2 per cell]
Te  0.383  0.000  0.734 [2 per cell]